This entry pairs a crystal structure of Nd2Dy3Tl4 with its computed powder XRD pattern. Radiation: Cu Kα (weighted mean of Kα1 and Kα2). Structure: the GGA-PBE geometry in Alexandria.

Principal peaks in the range 5° ≤ 2θ ≤ 70°, in order of rising 2θ:
2theta, Rel. int.
28.7, 326
29.0, 161
31.2, 927
31.6, 1000
32.9, 178
33.8, 229
38.5, 139
42.3, 190
47.8, 187
50.7, 172
51.2, 147
62.3, 138

Atomic structure:
```
Nd2Dy3Tl4
1.0
3.600 -8.323 0.000
3.600 8.323 0.000
0.000 0.000 9.155
Nd Dy Tl
4 6 8
direct
0.109 0.891 0.923
0.391 0.609 0.423
0.609 0.391 0.577
0.891 0.109 0.077
0.000 0.000 0.500
0.034 0.466 0.750
0.466 0.034 0.250
0.500 0.500 0.000
0.534 0.966 0.750
0.966 0.534 0.250
0.185 0.815 0.542
0.218 0.282 0.750
0.282 0.218 0.250
0.315 0.685 0.042
0.685 0.315 0.958
0.718 0.782 0.750
0.782 0.718 0.250
0.815 0.185 0.458
```

This entry pairs a crystal structure of Nd7Dy12Tl with its computed powder XRD pattern. Radiation: Cu Kα (weighted mean of Kα1 and Kα2). Structure: the GGA-PBE geometry in Alexandria.

Principal peaks in the range 5° ≤ 2θ ≤ 70°, in order of rising 2θ:
2theta, Rel. int.
22.5, 130
30.2, 253
30.5, 260
30.7, 1000
32.1, 699
32.4, 523
33.6, 277
38.6, 156
46.5, 101
52.7, 142
53.1, 169
53.5, 213

Atomic structure:
```
Nd7Dy12Tl
1.0
6.168 3.561 5.136
-6.168 3.561 5.136
0.000 -7.122 5.136
Nd Dy Tl
7 12 1
direct
0.000 0.000 0.000
0.121 0.268 0.715
0.268 0.715 0.121
0.285 0.879 0.732
0.715 0.121 0.268
0.732 0.285 0.879
0.879 0.732 0.285
0.038 0.378 0.159
0.159 0.038 0.378
0.166 0.612 0.495
0.378 0.159 0.038
0.388 0.505 0.834
0.495 0.166 0.612
0.505 0.834 0.388
0.612 0.495 0.166
0.622 0.841 0.962
0.834 0.388 0.505
0.841 0.962 0.622
0.962 0.622 0.841
0.500 0.500 0.500
```

This entry pairs a crystal structure of Nd2DyTl with its computed powder XRD pattern. Radiation: Cu Kα (weighted mean of Kα1 and Kα2). Structure: the GGA-PBE geometry in Alexandria.

Principal peaks in the range 5° ≤ 2θ ≤ 70°, in order of rising 2θ:
2theta, Rel. int.
31.0, 82
31.2, 1000
31.5, 431
32.0, 880
32.3, 550
45.0, 140
45.7, 310
55.4, 126
56.4, 173
56.9, 322
57.4, 179
65.1, 83

Atomic structure:
```
Nd2DyTl
1.0
6.774 0.000 0.000
0.000 5.551 0.000
-1.095 0.000 6.767
Nd Dy Tl
4 2 2
direct
0.130 0.250 0.220
0.341 0.750 0.574
0.659 0.250 0.426
0.870 0.750 0.780
0.421 0.750 0.093
0.579 0.250 0.907
0.118 0.250 0.734
0.882 0.750 0.266
```

This entry pairs a crystal structure of Nd9Dy2Tl with its computed powder XRD pattern. Radiation: Cu Kα (weighted mean of Kα1 and Kα2). Structure: the GGA-PBE geometry in Alexandria.

Principal peaks in the range 5° ≤ 2θ ≤ 70°, in order of rising 2θ:
2theta, Rel. int.
5.7, 10
30.3, 1000
34.6, 174
35.4, 332
50.4, 243
50.9, 118
59.4, 146
60.4, 283
63.1, 123

Atomic structure:
```
Nd9Dy2Tl
1.0
5.071 0.000 0.000
0.000 5.071 0.000
0.000 0.000 15.546
Nd Dy Tl
9 2 1
direct
0.000 0.000 0.000
0.000 0.000 0.331
0.000 0.000 0.669
0.000 0.500 0.162
0.000 0.500 0.500
0.000 0.500 0.838
0.500 0.000 0.162
0.500 0.000 0.500
0.500 0.000 0.838
0.500 0.500 0.332
0.500 0.500 0.668
0.500 0.500 0.000
```